Computed powder X-ray diffraction pattern of UTlF5 for Cu Kα (λ = 1.5418 Å), from a crystal structure in the Materials Project, relaxed with PBE.

Structure:
```
UTlF5
1.0
8.319 0.000 0.000
0.000 13.997 0.000
-1.860 0.000 8.221
U Tl F
8 8 40
Direct
0.015 0.244 0.097
0.015 0.256 0.597
0.447 0.246 0.961
0.447 0.254 0.461
0.553 0.746 0.539
0.553 0.754 0.039
0.985 0.744 0.403
0.985 0.756 0.903
0.230 0.520 0.721
0.230 0.980 0.221
0.275 0.514 0.198
0.275 0.986 0.698
0.725 0.014 0.302
0.725 0.486 0.802
0.770 0.020 0.779
0.770 0.480 0.279
0.017 0.601 0.934
0.017 0.899 0.434
0.066 0.597 0.386
0.066 0.903 0.886
0.079 0.709 0.676
0.079 0.791 0.176
0.176 0.183 0.355
0.176 0.317 0.855
0.226 0.153 0.020
0.226 0.347 0.520
0.270 0.739 0.970
0.270 0.761 0.470
0.285 0.188 0.691
0.285 0.312 0.191
0.469 0.698 0.269
0.469 0.802 0.769
0.474 0.603 0.579
0.474 0.897 0.079
0.481 0.102 0.510
0.481 0.398 0.010
0.519 0.602 0.990
0.519 0.898 0.490
0.526 0.103 0.921
0.526 0.397 0.421
0.531 0.198 0.231
0.531 0.302 0.731
0.715 0.688 0.809
0.715 0.812 0.309
0.730 0.239 0.530
0.730 0.261 0.030
0.774 0.653 0.480
0.774 0.847 0.980
0.824 0.683 0.145
0.824 0.817 0.645
0.921 0.209 0.824
0.921 0.291 0.324
0.934 0.097 0.114
0.934 0.403 0.614
0.983 0.101 0.566
0.983 0.399 0.066
```

Most intense lines, 5° ≤ 2θ ≤ 70°, sorted by position:
| h k l | 2θ/deg | I_rel |
| --- | --- | --- |
| 0 2 2 | 25.13 | 38 |
| 0 4 0 | 25.41 | 100 |
| 1 1 2 | 27.15 | 16 |
| 2 0 -2 | 27.27 | 19 |
| 2 4 -2 | 37.64 | 15 |
| 1 5 2 | 41.91 | 9 |
| 4 0 0 | 44.67 | 15 |
| 2 6 0 | 44.82 | 17 |


Computed powder X-ray diffraction pattern of LiNd2H6O6 for Cu Kα (λ = 1.5418 Å), from a crystal structure in the Materials Project, relaxed with PBE.

Structure:
```
LiNd2H6O6
1.0
6.703 0.000 0.000
0.000 3.586 0.000
-3.019 0.000 6.997
Li Nd H O
1 2 6 6
Direct
0.000 0.000 0.000
0.311 0.500 0.359
0.902 0.000 0.573
0.293 0.500 0.747
0.412 0.000 0.082
0.524 0.000 0.698
0.682 0.500 0.237
0.768 0.500 0.833
0.856 0.000 0.194
0.010 0.000 0.286
0.175 0.500 0.618
0.305 0.000 0.140
0.526 0.000 0.570
0.690 0.500 0.369
0.910 0.500 0.823
```

Most intense lines, 5° ≤ 2θ ≤ 70°, sorted by position:
| h k l | 2θ/deg | I_rel |
| --- | --- | --- |
| 0 0 1 | 12.65 | 100 |
| 1 0 -1 | 14.94 | 19 |
| 1 0 1 | 22.71 | 20 |
| 2 0 -1 | 26.63 | 19 |
| 1 1 0 | 28.82 | 29 |
| 2 0 0 | 29.07 | 36 |
| 0 1 2 | 35.86 | 28 |
| 2 1 -3 | 45.97 | 19 |


Computed powder X-ray diffraction pattern of Er3In4Co2 for Cu Kα (λ = 1.5418 Å), from a crystal structure in the Materials Project, relaxed with PBE.

Structure:
```
Er3In4Co2
1.0
7.914 0.000 0.000
-3.957 6.853 0.000
0.000 0.000 3.524
Er In Co
3 4 2
Direct
0.043 0.624 0.000
0.376 0.419 0.000
0.581 0.957 0.000
0.258 0.003 0.500
0.667 0.333 0.500
0.745 0.742 0.500
0.997 0.255 0.500
0.000 0.000 0.000
0.333 0.667 0.500
```

Most intense lines, 5° ≤ 2θ ≤ 70°, sorted by position:
| h k l | 2θ/deg | I_rel |
| --- | --- | --- |
| 1 1 1 | 34.07 | 100 |
| 1 2 0 | 34.63 | 67 |
| 2 0 1 | 36.58 | 55 |
| 3 0 0 | 39.44 | 33 |
| 2 1 1 | 43.35 | 25 |
| 0 0 2 | 51.89 | 16 |
| 1 2 2 | 63.90 | 22 |
| 2 3 1 | 64.95 | 29 |


Computed powder X-ray diffraction pattern of Cu2BiTeSO10 for Cu Kα (λ = 1.5418 Å), from a crystal structure in the Materials Project, relaxed with PBE.

Structure:
```
Cu2BiTeSO10
1.0
9.654 0.000 0.000
0.000 6.106 0.000
-6.575 0.000 14.007
Cu Bi Te S O
8 4 4 4 40
Direct
0.003 0.108 0.257
0.003 0.392 0.757
0.114 0.015 0.960
0.114 0.485 0.460
0.886 0.515 0.540
0.886 0.985 0.040
0.997 0.608 0.243
0.997 0.892 0.743
0.355 0.105 0.876
0.355 0.395 0.376
0.645 0.605 0.624
0.645 0.895 0.124
0.270 0.623 0.693
0.270 0.877 0.193
0.730 0.123 0.807
0.730 0.377 0.307
0.374 0.120 0.584
0.374 0.380 0.084
0.626 0.620 0.916
0.626 0.880 0.416
0.046 0.652 0.826
0.046 0.848 0.326
0.092 0.620 0.567
0.092 0.880 0.067
0.103 0.125 0.849
0.103 0.375 0.349
0.197 0.627 0.236
0.197 0.873 0.736
0.205 0.095 0.258
0.205 0.405 0.758
0.230 0.201 0.582
0.230 0.299 0.082
0.305 0.582 0.480
0.305 0.918 0.980
0.368 0.109 0.486
0.368 0.391 0.986
0.415 0.600 0.131
0.415 0.900 0.631
0.495 0.729 0.354
0.495 0.771 0.854
0.505 0.229 0.146
0.505 0.271 0.646
0.585 0.100 0.369
0.585 0.400 0.869
0.632 0.609 0.014
0.632 0.891 0.514
0.695 0.082 0.020
0.695 0.418 0.520
0.770 0.701 0.918
0.770 0.799 0.418
0.795 0.595 0.242
0.795 0.905 0.742
0.803 0.127 0.264
0.803 0.373 0.764
0.897 0.625 0.651
0.897 0.875 0.151
0.908 0.120 0.933
0.908 0.380 0.433
0.954 0.152 0.674
0.954 0.348 0.174
```

Most intense lines, 5° ≤ 2θ ≤ 70°, sorted by position:
| h k l | 2θ/deg | I_rel |
| --- | --- | --- |
| 1 0 -2 | 12.39 | 33 |
| 0 1 1 | 15.83 | 100 |
| 0 1 2 | 19.29 | 46 |
| 2 1 -3 | 25.73 | 46 |
| 2 1 -4 | 28.96 | 38 |
| 1 1 3 | 29.17 | 73 |
| 3 0 0 | 30.72 | 28 |
| 1 0 4 | 31.30 | 35 |


Computed powder X-ray diffraction pattern of Na2CuSbS3 for Cu Kα (λ = 1.5418 Å), from a crystal structure in the Materials Project, relaxed with PBE.

Structure:
```
Na2CuSbS3
1.0
5.867 0.000 0.000
0.000 17.245 0.000
-3.193 0.000 6.267
Na Cu Sb S
8 4 4 12
Direct
0.065 0.113 0.118
0.065 0.387 0.618
0.346 0.038 0.690
0.346 0.462 0.190
0.654 0.538 0.810
0.654 0.962 0.310
0.935 0.613 0.382
0.935 0.887 0.882
0.381 0.212 0.900
0.381 0.288 0.400
0.619 0.712 0.600
0.619 0.788 0.100
0.245 0.674 0.018
0.245 0.826 0.518
0.755 0.174 0.482
0.755 0.326 0.982
0.158 0.557 0.805
0.158 0.943 0.305
0.210 0.196 0.540
0.210 0.304 0.040
0.425 0.613 0.373
0.425 0.887 0.873
0.575 0.113 0.127
0.575 0.387 0.627
0.790 0.696 0.960
0.790 0.804 0.460
0.842 0.057 0.695
0.842 0.443 0.195
```

Most intense lines, 5° ≤ 2θ ≤ 70°, sorted by position:
| h k l | 2θ/deg | I_rel |
| --- | --- | --- |
| 0 2 0 | 10.26 | 100 |
| 1 2 -1 | 19.40 | 43 |
| 0 3 1 | 20.97 | 23 |
| 1 1 -2 | 26.19 | 26 |
| 0 2 2 | 30.35 | 34 |
| 2 1 -1 | 30.95 | 45 |
| 1 4 1 | 33.97 | 24 |
| 2 3 -1 | 34.33 | 60 |


Computed powder X-ray diffraction pattern of RbPH2O4 for Cu Kα (λ = 1.5418 Å), from a crystal structure in the Materials Project, relaxed with PBE.

Structure:
```
RbPH2O4
1.0
8.361 0.000 0.000
0.000 6.534 0.000
-3.615 0.000 8.703
Rb P H O
4 4 8 16
Direct
0.243 0.237 0.221
0.243 0.263 0.721
0.757 0.737 0.279
0.757 0.763 0.779
0.232 0.709 0.986
0.232 0.791 0.486
0.768 0.209 0.514
0.768 0.291 0.014
0.116 0.716 0.660
0.116 0.784 0.160
0.439 0.577 0.538
0.439 0.923 0.038
0.561 0.077 0.962
0.561 0.423 0.462
0.884 0.216 0.840
0.884 0.284 0.340
0.081 0.747 0.545
0.081 0.753 0.045
0.141 0.642 0.820
0.141 0.858 0.320
0.314 0.558 0.486
0.314 0.942 0.986
0.376 0.582 0.096
0.376 0.918 0.596
0.624 0.082 0.404
0.624 0.418 0.904
0.686 0.058 0.014
0.686 0.442 0.514
0.859 0.142 0.680
0.859 0.358 0.180
0.919 0.247 0.955
0.919 0.253 0.455
```

Most intense lines, 5° ≤ 2θ ≤ 70°, sorted by position:
| h k l | 2θ/deg | I_rel |
| --- | --- | --- |
| 2 0 0 | 23.04 | 51 |
| 1 1 -2 | 23.57 | 100 |
| 0 2 0 | 27.30 | 28 |
| 1 1 2 | 30.42 | 43 |
| 3 1 -2 | 35.77 | 29 |
| 2 2 0 | 36.01 | 19 |
| 2 2 -2 | 36.83 | 14 |
| 3 1 0 | 37.56 | 14 |